Diffraction record for BaIn. The powder diffractogram is theoretical, not measured: it uses DFT lattice parameters and positions (PBE) and λ = 1.5418 Å (Cu Kα).

Atomic structure:
Lattice parameters (Å, degrees): 7.5921 7.5921 5.7009 90.00 90.00 113.68
Sites, in units of the cell vectors:
Ba 0.1252 0.8748 0.7500
Ba 0.3240 0.6760 0.2500
Ba 0.6760 0.3240 0.7500
Ba 0.8748 0.1252 0.2500
In 0.2199 0.3788 0.7500
In 0.3788 0.2199 0.2500
In 0.6212 0.7801 0.7500
In 0.7801 0.6212 0.2500

Largest 6 diffraction maxima, in order of rising 2θ, 2θ from 15° to 90°:
- 2θ = 25.6°, I = 15.9
- 2θ = 28.4°, I = 25.8
- 2θ = 30.1°, I = 100.0
- 2θ = 31.4°, I = 35.1
- 2θ = 32.3°, I = 30.6
- 2θ = 55.1°, I = 17.7